Structure and calculated PXRD pattern of LaTlIr3 (a PBE-relaxed structure; Cu Kα X-rays).
Neutral-atom scattering factors, no anomalous dispersion.

Atomic structure:
Cell: 4.983 4.983 4.983 Å, 90.00 90.00 90.00°
Space group Pm-3m (No. 221)
Asymmetric unit:
La1 0.000 0.000 0.000
Tl1 0.500 0.500 0.500
Ir1 0.000 0.500 0.500

The 10 most intense peaks (10 to 90 degrees two-theta), in order of rising 2θ:
| two_theta | I/Imax | hkl |
| --- | --- | --- |
| 17.8 | 43 | 1 0 0 |
| 25.3 | 13 | 1 1 0 |
| 31.1 | 62 | 1 1 1 |
| 36.1 | 100 | 2 0 0 |
| 40.5 | 23 | 2 1 0 |
| 51.9 | 72 | 2 2 0 |
| 55.3 | 12 | 3 0 0 |
| 61.7 | 26 | 3 1 1 |
| 64.8 | 25 | 2 2 2 |
| 87.6 | 34 | 4 2 0 |